Starting from a crystal structure in Alexandria, relaxed with GGA-PBE, the X-ray diffraction stick pattern of CaMg5P3CO16 was calculated for Cu Kα (weighted mean of Kα1 and Kα2).
Kinematic intensities with the Lorentz-polarization factor, no thermal factor.

Top 10 peaks for 2θ from 5° to 70°, low angle first:
2θ = 8.3°, intensity 36, hkl 0 0 1
2θ = 18.0°, intensity 46, hkl 1 1 0
2θ = 23.8°, intensity 41, hkl 1 0 2
2θ = 28.0°, intensity 42, hkl 0 1 3
2θ = 28.5°, intensity 33, hkl 2 0 0
2θ = 30.6°, intensity 84, hkl 0 2 -3
2θ = 30.8°, intensity 53, hkl 0 3 -1
2θ = 31.1°, intensity 77, hkl 2 1 0
2θ = 31.7°, intensity 63, hkl -2 1 2
2θ = 32.5°, intensity 100, hkl 0 3 1

Structural model:
```
CaMg5P3CO16
1.0
6.3944 0.0000 0.0000
-0.5399 8.8330 0.0000
-1.9926 -1.1048 10.6825
Ca Mg P C O
2 10 6 2 32
Direct
0.1233 0.3177 0.0636
0.8767 0.6823 0.9364
0.0859 0.8214 0.6702
0.3126 0.0361 0.9005
0.3202 0.8737 0.4454
0.3461 0.5286 0.6182
0.4115 0.6497 0.1801
0.5885 0.3503 0.8199
0.6539 0.4714 0.3818
0.6798 0.1263 0.5546
0.6874 0.9639 0.0995
0.9141 0.1786 0.3298
0.1968 0.9670 0.1672
0.2199 0.1583 0.6102
0.3705 0.6699 0.9230
0.6295 0.3301 0.0770
0.7801 0.8417 0.3898
0.8032 0.0330 0.8328
0.1516 0.4784 0.3374
0.8484 0.5216 0.6626
0.0072 0.8270 0.4646
0.0128 0.1122 0.9146
0.0262 0.5820 0.6405
0.1540 0.1203 0.2352
0.1588 0.5218 0.2284
0.2130 0.0466 0.7110
0.2188 0.5801 0.9934
0.2440 0.7947 0.8598
0.2928 0.8505 0.2582
0.3237 0.4908 0.4220
0.3299 0.3148 0.6733
0.3398 0.7506 0.5929
0.3534 0.0936 0.5160
0.3651 0.0009 0.0856
0.4389 0.2672 0.9674
0.4657 0.5716 0.8253
0.5343 0.4284 0.1747
0.5611 0.7328 0.0326
0.6349 0.9991 0.9144
0.6466 0.9064 0.4840
0.6602 0.2494 0.4071
0.6701 0.6852 0.3267
0.6763 0.5092 0.5780
0.7072 0.1495 0.7418
0.7560 0.2053 0.1402
0.7812 0.4199 0.0066
0.7870 0.9534 0.2890
0.8412 0.4782 0.7716
0.8460 0.8797 0.7648
0.9738 0.4180 0.3595
0.9872 0.8878 0.0854
0.9928 0.1730 0.5354
```

=====

Starting from a crystal structure in Alexandria, relaxed with GGA-PBE, the X-ray diffraction stick pattern of B7C5 was calculated for Cu Kα (weighted mean of Kα1 and Kα2).
Kinematic intensities with the Lorentz-polarization factor, no thermal factor.

Top 10 peaks for 2θ from 5° to 70°, low angle first:
2θ = 16.6°, intensity 70, hkl 0 0 1
2θ = 23.6°, intensity 27, hkl 0 1 -1
2θ = 29.4°, intensity 20, hkl 1 -1 1
2θ = 30.7°, intensity 25, hkl 0 1 1
2θ = 35.0°, intensity 18, hkl 0 1 -2
2θ = 40.1°, intensity 48, hkl 1 0 -2
2θ = 40.5°, intensity 100, hkl 1 -2 0
2θ = 40.7°, intensity 45, hkl 1 -1 2
2θ = 68.0°, intensity 18, hkl 0 1 -4
2θ = 68.2°, intensity 29, hkl 2 0 2

Structural model:
```
B7C5
1.0
3.8118 0.0000 0.0000
-1.8782 4.2741 0.0000
-0.0893 -1.4485 5.3305
B C
7 5
Direct
0.0000 0.0000 0.0000
0.0386 0.6160 0.4285
0.1234 0.6738 0.9199
0.3006 0.2727 0.5324
0.6660 0.9514 0.2787
0.7129 0.8575 0.7150
0.8160 0.2985 0.0882
0.2867 0.5968 0.6691
0.2878 0.6010 0.1583
0.4003 0.3108 0.1043
0.6131 0.2854 0.3447
0.9518 0.9385 0.4917
```